1.
ScV9N9: calculated X-ray powder pattern (CuKα), based on a GGA-PBE-relaxed structure.
No peak broadening, texture or thermal motion is included.

Cell and atoms:
```
data_ScV9N9
_space_group_name_H-M_alt 'P -1'
_space_group_IT_number 2
_space_group_name_Hall '-P 1'
_cell_length_a 5.0512
_cell_length_b 5.8597
_cell_length_c 6.5276
_cell_angle_alpha 76.69
_cell_angle_beta 75.22
_cell_angle_gamma 73.37
loop_
_atom_site_label
_atom_site_fract_x
_atom_site_fract_y
_atom_site_fract_z
Sc1 0.0000 0.0000 0.0000
V1 0.0000 0.5000 0.0000
V2 0.2228 0.3150 0.5925
V3 0.2227 0.7859 0.5893
V4 0.3971 0.1206 0.2113
V5 0.4071 0.5904 0.2168
N1 0.0883 0.4050 0.3051
N2 0.0974 0.8960 0.3141
N3 0.3076 0.6864 0.9048
N4 0.3176 0.2004 0.8953
N5 0.5000 0.0000 0.5000
```

Main lines, by intensity (2θ = 10–90°):
| 2θ (°) | I_rel |
| --- | --- |
| 43.93 | 100 |
| 37.72 | 61 |
| 43.59 | 51 |
| 63.86 | 40 |
| 37.79 | 31 |
| 37.59 | 30 |
| 63.48 | 27 |
| 63.65 | 13 |

2.
Zr2In2Au: calculated X-ray powder pattern (CuKα), based on a GGA-PBE-relaxed structure.
No peak broadening, texture or thermal motion is included.

Cell and atoms:
```
data_Zr2In2Au
_space_group_name_H-M_alt 'P 4/m b m'
_space_group_IT_number 127
_space_group_name_Hall '-P 4 2ab'
_cell_length_a 7.0663
_cell_length_b 7.0663
_cell_length_c 4.4389
_cell_angle_alpha 90.00
_cell_angle_beta 90.00
_cell_angle_gamma 90.00
loop_
_atom_site_label
_atom_site_fract_x
_atom_site_fract_y
_atom_site_fract_z
Zr1 0.1629 0.3371 0.0000
In1 0.1405 0.6405 0.5000
Au1 0.0000 0.0000 0.5000
```

Main lines, by intensity (2θ = 10–90°):
| 2θ (°) | I_rel |
| --- | --- |
| 34.85 | 100 |
| 40.36 | 59 |
| 58.62 | 39 |
| 32.39 | 34 |
| 40.65 | 31 |
| 20.00 | 28 |
| 45.44 | 26 |
| 26.87 | 23 |

3.
BaSi2Te4: calculated X-ray powder pattern (CuKα), based on a GGA-PBE-relaxed structure.
No peak broadening, texture or thermal motion is included.

Cell and atoms:
```
data_BaSi2Te4
_space_group_name_H-M_alt 'I 4/m'
_space_group_IT_number 87
_space_group_name_Hall '-I 4'
_cell_length_a 8.6953
_cell_length_b 8.6953
_cell_length_c 6.4996
_cell_angle_alpha 90.00
_cell_angle_beta 90.00
_cell_angle_gamma 90.00
loop_
_atom_site_label
_atom_site_fract_x
_atom_site_fract_y
_atom_site_fract_z
Ba1 0.0000 0.0000 0.0000
Si1 0.0000 0.5000 0.2500
Te1 0.1392 0.6981 0.5000
```

Main lines, by intensity (2θ = 10–90°):
| 2θ (°) | I_rel |
| --- | --- |
| 26.71 | 100 |
| 43.09 | 31 |
| 27.44 | 21 |
| 32.56 | 21 |
| 48.07 | 20 |
| 54.63 | 19 |
| 69.30 | 14 |
| 46.72 | 10 |

4.
TbSi4Pd8: calculated X-ray powder pattern (CuKα), based on a GGA-PBE-relaxed structure.
No peak broadening, texture or thermal motion is included.

Cell and atoms:
```
data_TbSi4Pd8
_space_group_name_H-M_alt 'I 4/m m m'
_space_group_IT_number 139
_space_group_name_Hall '-I 4 2'
_cell_length_a 8.7131
_cell_length_b 8.7131
_cell_length_c 5.2755
_cell_angle_alpha 90.00
_cell_angle_beta 90.00
_cell_angle_gamma 90.00
loop_
_atom_site_label
_atom_site_fract_x
_atom_site_fract_y
_atom_site_fract_z
Tb1 0.0000 0.0000 0.0000
Si1 0.2500 0.2500 0.2500
Pd1 0.0000 0.2243 0.5000
Pd2 0.0000 0.3297 0.0000
```

Main lines, by intensity (2θ = 10–90°):
| 2θ (°) | I_rel |
| --- | --- |
| 41.08 | 100 |
| 33.99 | 55 |
| 35.28 | 54 |
| 41.45 | 47 |
| 45.26 | 43 |
| 75.36 | 34 |
| 28.99 | 28 |
| 39.96 | 25 |